Simulated X-ray diffraction stick pattern of Sb8Cl2O11 for λ = 1.5418 Å (Cu Kα), from DFT lattice parameters and positions (PBE).
Lines closer than 0.1° are merged.

Structure:
a = 7.452 Å, b = 7.576 Å, c = 19.532 Å
α = 86.64°, β = 79.49°, γ = 73.64°
Space group P-1 (No. 2)
Unique sites:
Sb (0.003, 0.058, 0.186) (multiplicity 2)
Sb (0.068, 0.238, 0.519) (multiplicity 2)
Sb (0.103, 0.363, 0.278) (multiplicity 2)
Sb (0.103, 0.727, 0.005) (multiplicity 2)
Sb (0.226, 0.282, 0.815) (multiplicity 2)
Sb (0.251, 0.753, 0.304) (multiplicity 2)
Sb (0.337, 0.539, 0.570) (multiplicity 2)
Sb (0.381, 0.941, 0.082) (multiplicity 2)
Cl (0.364, 0.261, 0.177) (multiplicity 2)
Cl (0.378, 0.296, 0.349) (multiplicity 2)
O (0.000, 0.000, 0.000) (multiplicity 1)
O (0.000, 0.500, 0.500) (multiplicity 1)
O (0.043, 0.311, 0.904) (multiplicity 2)
O (0.078, 0.680, 0.800) (multiplicity 2)
O (0.084, 0.001, 0.278) (multiplicity 2)
O (0.095, 0.630, 0.258) (multiplicity 2)
O (0.141, 0.751, 0.549) (multiplicity 2)
O (0.147, 0.756, 0.402) (multiplicity 2)
O (0.230, 0.020, 0.802) (multiplicity 2)
O (0.246, 0.324, 0.585) (multiplicity 2)
O (0.339, 0.731, 0.036) (multiplicity 2)
O (0.468, 0.217, 0.856) (multiplicity 2)

Main lines, in order of falling intensity (2θ from 10° to 90°):
- 2θ = 24.18°, intensity 100, hkl 1 0 -4
- 2θ = 23.01°, intensity 76, hkl 1 -1 3
- 2θ = 25.12°, intensity 71, hkl 1 2 2
- 2θ = 13.00°, intensity 69, hkl 0 1 1
- 2θ = 12.58°, intensity 59, hkl 1 0 0
- 2θ = 30.94°, intensity 48, hkl 2 1 5
- 2θ = 32.13°, intensity 25, hkl -2 1 1
- 2θ = 32.89°, intensity 24, hkl 2 2 -2
- 2θ = 37.47°, intensity 24, hkl 0 3 -1
- 2θ = 18.51°, intensity 22, hkl 0 0 4

---

Simulated X-ray diffraction stick pattern of PrAl8Cr4 for λ = 1.5418 Å (Cu Kα), from DFT lattice parameters and positions (PBE).
Lines closer than 0.1° are merged.

Structure:
a = 9.019 Å, b = 9.019 Å, c = 5.064 Å
α = 90.00°, β = 90.00°, γ = 90.00°
Space group I4/mmm (No. 139)
Unique sites:
Pr (0.000, 0.000, 0.000) (multiplicity 2)
Al (0.000, 0.227, 0.500) (multiplicity 8)
Al (0.000, 0.341, 0.000) (multiplicity 8)
Cr (0.250, 0.250, 0.250) (multiplicity 8)

Main lines, in order of falling intensity (2θ from 10° to 90°):
- 2θ = 40.88°, intensity 100, hkl 2 0 2
- 2θ = 40.21°, intensity 85, hkl 3 2 1
- 2θ = 39.99°, intensity 78, hkl 4 0 0
- 2θ = 28.29°, intensity 64, hkl 2 1 1
- 2θ = 34.70°, intensity 50, hkl 3 0 1
- 2θ = 20.11°, intensity 44, hkl 1 0 1
- 2θ = 13.89°, intensity 43, hkl 1 1 0
- 2θ = 27.98°, intensity 41, hkl 2 2 0
- 2θ = 58.51°, intensity 36, hkl 4 2 2
- 2θ = 31.37°, intensity 31, hkl 3 1 0

---

Simulated X-ray diffraction stick pattern of BaCeN2 for λ = 1.5418 Å (Cu Kα), from DFT lattice parameters and positions (PBE).
Lines closer than 0.1° are merged.

Structure:
a = 3.6980 Å, b = 3.6980 Å, c = 12.6954 Å
α = 90.00°, β = 90.00°, γ = 120.00°
Space group P6_3/mmc (No. 194)
Unique sites:
Ba (0.3333, 0.6667, 0.2500) (multiplicity 2)
Ce (0.0000, 0.0000, 0.0000) (multiplicity 2)
N (0.3333, 0.6667, 0.5958) (multiplicity 4)

Main lines, in order of falling intensity (2θ from 10° to 90°):
- 2θ = 31.28°, intensity 100, hkl 1 0 2
- 2θ = 35.14°, intensity 34, hkl 1 0 3
- 2θ = 28.12°, intensity 34, hkl 0 0 4
- 2θ = 28.75°, intensity 31, hkl 1 0 1
- 2θ = 49.28°, intensity 30, hkl 1 1 0
- 2θ = 57.70°, intensity 28, hkl 1 1 4
- 2θ = 51.79°, intensity 28, hkl 1 0 6
- 2θ = 79.60°, intensity 17, hkl 1 1 8
- 2θ = 59.54°, intensity 16, hkl 2 0 2
- 2θ = 80.84°, intensity 13, hkl 2 1 2

---

Simulated X-ray diffraction stick pattern of TiPOs for λ = 1.5418 Å (Cu Kα), from DFT lattice parameters and positions (PBE).
Lines closer than 0.1° are merged.

Structure:
a = 6.2630 Å, b = 6.2630 Å, c = 3.7126 Å
α = 90.00°, β = 90.00°, γ = 120.00°
Space group P-62m (No. 189)
Unique sites:
Ti (0.0000, 0.4146, 0.0000) (multiplicity 3)
P (0.0000, 0.0000, 0.0000) (multiplicity 1)
P (0.3333, 0.6667, 0.5000) (multiplicity 2)
Os (0.0000, 0.7471, 0.5000) (multiplicity 3)

Main lines, in order of falling intensity (2θ from 10° to 90°):
- 2θ = 37.58°, intensity 100, hkl 1 1 1
- 2θ = 44.18°, intensity 61, hkl 2 1 0
- 2θ = 50.88°, intensity 52, hkl 2 1 1
- 2θ = 28.50°, intensity 48, hkl 1 1 0
- 2θ = 23.97°, intensity 45, hkl 0 0 1
- 2θ = 41.22°, intensity 38, hkl 2 0 1
- 2θ = 16.34°, intensity 34, hkl 1 0 0
- 2θ = 68.15°, intensity 34, hkl 2 1 2
- 2θ = 81.60°, intensity 24, hkl 3 2 1
- 2θ = 49.08°, intensity 21, hkl 0 0 2

---

Simulated X-ray diffraction stick pattern of Rb3Os for λ = 1.5418 Å (Cu Kα), from DFT lattice parameters and positions (PBE).
Lines closer than 0.1° are merged.

Structure:
a = 5.696 Å, b = 5.696 Å, c = 5.696 Å
α = 90.00°, β = 90.00°, γ = 90.00°
Space group Pm-3m (No. 221)
Unique sites:
Rb (0.000, 0.000, 0.500) (multiplicity 3)
Os (0.500, 0.500, 0.500) (multiplicity 1)

Main lines, in order of falling intensity (2θ from 10° to 90°):
- 2θ = 27.12°, intensity 100, hkl 1 1 1
- 2θ = 31.41°, intensity 51, hkl 2 0 0
- 2θ = 53.35°, intensity 45, hkl 3 1 1
- 2θ = 45.02°, intensity 37, hkl 2 2 0
- 2θ = 72.31°, intensity 18, hkl 3 3 1
- 2θ = 74.50°, intensity 17, hkl 4 2 0
- 2θ = 89.39°, intensity 15, hkl 5 1 1
- 2θ = 55.92°, intensity 13, hkl 2 2 2
- 2θ = 15.56°, intensity 13, hkl 1 0 0
- 2θ = 83.07°, intensity 13, hkl 4 2 2

---

Simulated X-ray diffraction stick pattern of Pr3Se4 for λ = 1.5418 Å (Cu Kα), from DFT lattice parameters and positions (PBE).
Lines closer than 0.1° are merged.

Structure:
a = 9.012 Å, b = 9.012 Å, c = 9.012 Å
α = 90.00°, β = 90.00°, γ = 90.00°
Space group I-43d (No. 220)
Unique sites:
Pr (0.000, 0.250, 0.375) (multiplicity 12)
Se (0.075, 0.075, 0.075) (multiplicity 16)

Main lines, in order of falling intensity (2θ from 10° to 90°):
- 2θ = 31.39°, intensity 100, hkl 3 1 0
- 2θ = 37.33°, intensity 67, hkl 3 2 1
- 2θ = 63.65°, intensity 31, hkl 6 1 1
- 2θ = 24.19°, intensity 26, hkl 2 1 1
- 2θ = 44.98°, intensity 24, hkl 4 2 0
- 2θ = 77.89°, intensity 20, hkl 7 2 1
- 2θ = 51.72°, intensity 18, hkl 4 3 1
- 2θ = 47.31°, intensity 16, hkl 3 3 2
- 2θ = 67.33°, intensity 14, hkl 5 4 1
- 2θ = 49.55°, intensity 11, hkl 4 2 2

---

Simulated X-ray diffraction stick pattern of KInSe2 for λ = 1.5418 Å (Cu Kα), from DFT lattice parameters and positions (PBE).
Lines closer than 0.1° are merged.

Structure:
a = 7.544 Å, b = 7.544 Å, c = 9.738 Å
α = 90.00°, β = 90.00°, γ = 90.00°
Space group I-42d (No. 122)
Unique sites:
K (0.000, 0.000, 0.000) (multiplicity 4)
In (0.000, 0.000, 0.500) (multiplicity 4)
Se (0.181, 0.250, 0.625) (multiplicity 8)

Main lines, in order of falling intensity (2θ from 10° to 90°):
- 2θ = 24.76°, intensity 100, hkl 1 1 2
- 2θ = 44.28°, intensity 56, hkl 2 0 4
- 2θ = 14.85°, intensity 53, hkl 1 0 1
- 2θ = 42.18°, intensity 34, hkl 3 1 2
- 2θ = 33.60°, intensity 33, hkl 2 2 0
- 2θ = 38.49°, intensity 15, hkl 2 1 3
- 2θ = 27.99°, intensity 13, hkl 2 1 1
- 2θ = 67.56°, intensity 10, hkl 4 2 4
- 2θ = 50.77°, intensity 9, hkl 4 1 1
- 2θ = 54.39°, intensity 9, hkl 4 2 0

---

Simulated X-ray diffraction stick pattern of SbN for λ = 1.5418 Å (Cu Kα), from DFT lattice parameters and positions (PBE).
Lines closer than 0.1° are merged.

Structure:
a = 5.577 Å, b = 6.068 Å, c = 5.158 Å
α = 90.00°, β = 90.00°, γ = 90.00°
Space group Pca2_1 (No. 29)
Unique sites:
Sb (0.044, 0.194, 0.000) (multiplicity 4)
N (0.109, 0.108, 0.386) (multiplicity 4)

Main lines, in order of falling intensity (2θ from 10° to 90°):
- 2θ = 27.77°, intensity 100, hkl 1 1 1
- 2θ = 14.60°, intensity 31, hkl 0 1 0
- 2θ = 37.99°, intensity 22, hkl 1 2 1
- 2θ = 34.78°, intensity 19, hkl 0 0 2
- 2θ = 32.10°, intensity 18, hkl 2 0 0
- 2θ = 58.17°, intensity 17, hkl 1 1 3
- 2θ = 29.44°, intensity 16, hkl 0 2 0
- 2θ = 21.64°, intensity 12, hkl 1 1 0
- 2θ = 48.05°, intensity 11, hkl 2 0 2
- 2θ = 66.38°, intensity 10, hkl 1 4 1